(1)
Starting from a cell relaxed with PBE, the powder X-ray diffraction pattern of B11C was calculated for copper Kα.

Structure:
Unit cell a=2.301 b=2.301 c=15.519 alpha=90.00 beta=90.00 gamma=90.00
Fractional positions:
B (0.000, 0.000, 0.000)
B (0.000, 0.000, 0.343)
B (0.000, 0.000, 0.657)
B (0.000, 0.500, 0.257)
B (0.000, 0.500, 0.571)
B (0.000, 0.500, 0.914)
B (0.500, 0.000, 0.086)
B (0.500, 0.000, 0.429)
B (0.500, 0.000, 0.743)
B (0.500, 0.500, 0.171)
B (0.500, 0.500, 0.829)
C (0.500, 0.500, 0.500)

Top 6 peaks for 10 to 90 degrees two-theta, most intense first:
43.0 deg, I 100; 68.1 deg, I 37; 67.9 deg, I 17; 84.2 deg, I 12; 11.4 deg, I 6; 73.2 deg, I 6

---

(2)
Starting from a cell relaxed with PBE, the powder X-ray diffraction pattern of TbY2Ga6 was calculated for copper Kα.

Structure:
Unit cell a=7.295 b=7.295 c=4.138 alpha=90.00 beta=90.00 gamma=120.00
Fractional positions:
Tb (0.000, 0.000, 0.000)
Y (0.333, 0.667, 0.000)
Y (0.667, 0.333, 0.000)
Ga (0.000, 0.333, 0.500)
Ga (0.000, 0.667, 0.500)
Ga (0.333, 0.000, 0.500)
Ga (0.333, 0.333, 0.500)
Ga (0.667, 0.000, 0.500)
Ga (0.667, 0.667, 0.500)

Top 6 peaks for 10 to 90 degrees two-theta, most intense first:
32.7 deg, I 100; 42.9 deg, I 45; 63.0 deg, I 29; 55.0 deg, I 22; 72.2 deg, I 19; 43.8 deg, I 16

---

(3)
Starting from a cell relaxed with PBE, the powder X-ray diffraction pattern of AcCdTeO5 was calculated for copper Kα.

Structure:
Unit cell a=6.579 b=6.579 c=8.876 alpha=110.05 beta=110.05 gamma=92.66
Fractional positions:
Ac (0.000, 0.000, 0.000)
Ac (0.000, 0.000, 0.500)
Cd (0.313, 0.687, 0.750)
Cd (0.687, 0.313, 0.250)
Te (0.352, 0.648, 0.250)
Te (0.648, 0.352, 0.750)
O (0.094, 0.906, 0.750)
O (0.268, 0.731, 0.452)
O (0.269, 0.732, 0.048)
O (0.321, 0.334, 0.161)
O (0.334, 0.321, 0.661)
O (0.666, 0.679, 0.339)
O (0.679, 0.666, 0.839)
O (0.731, 0.268, 0.952)
O (0.732, 0.269, 0.548)
O (0.906, 0.094, 0.250)

Top 6 peaks for 10 to 90 degrees two-theta, most intense first:
22.1 deg, I 100; 22.5 deg, I 92; 30.4 deg, I 69; 44.8 deg, I 44; 29.8 deg, I 31; 29.7 deg, I 31

---

(4)
Starting from a cell relaxed with PBE, the powder X-ray diffraction pattern of Dy5Y2Ho was calculated for copper Kα.

Structure:
Unit cell a=6.145 b=9.373 c=9.381 alpha=81.79 beta=83.80 gamma=71.07
Fractional positions:
Dy (0.249, 0.219, 0.343)
Dy (0.249, 0.969, 0.094)
Dy (0.250, 0.470, 0.593)
Dy (0.250, 0.843, 0.469)
Dy (0.251, 0.594, 0.220)
Dy (0.749, 0.406, 0.780)
Dy (0.750, 0.157, 0.531)
Dy (0.750, 0.530, 0.407)
Dy (0.751, 0.031, 0.906)
Dy (0.751, 0.781, 0.657)
Y (0.251, 0.093, 0.718)
Y (0.251, 0.344, 0.969)
Y (0.749, 0.656, 0.031)
Y (0.749, 0.907, 0.282)
Ho (0.250, 0.719, 0.843)
Ho (0.750, 0.281, 0.157)

Top 6 peaks for 10 to 90 degrees two-theta, most intense first:
30.9 deg, I 100; 35.8 deg, I 50; 61.3 deg, I 21; 51.5 deg, I 18; 51.6 deg, I 18; 61.4 deg, I 18

---

(5)
Starting from a cell relaxed with PBE, the powder X-ray diffraction pattern of BaSr3Zr4Se12 was calculated for copper Kα.

Structure:
Unit cell a=9.072 b=4.013 c=14.787 alpha=90.00 beta=90.07 gamma=90.00
Fractional positions:
Ba (0.000, 0.000, 0.000)
Sr (0.127, 0.500, 0.645)
Sr (0.505, 0.000, 0.147)
Sr (0.623, 0.500, 0.502)
Zr (0.236, 0.000, 0.382)
Zr (0.404, 0.500, 0.881)
Zr (0.735, 0.000, 0.761)
Zr (0.894, 0.500, 0.271)
Se (0.049, 0.500, 0.433)
Se (0.082, 0.000, 0.219)
Se (0.234, 0.000, 0.812)
Se (0.288, 0.500, 0.042)
Se (0.355, 0.000, 0.542)
Se (0.405, 0.500, 0.311)
Se (0.545, 0.500, 0.714)
Se (0.595, 0.000, 0.929)
Se (0.726, 0.000, 0.341)
Se (0.767, 0.500, 0.113)
Se (0.856, 0.000, 0.602)
Se (0.908, 0.500, 0.827)

Top 6 peaks for 10 to 90 degrees two-theta, most intense first:
30.4 deg, I 100; 32.2 deg, I 72; 31.8 deg, I 38; 37.8 deg, I 36; 45.2 deg, I 29; 31.2 deg, I 27

---

(6)
Starting from a cell relaxed with PBE, the powder X-ray diffraction pattern of CuBiRh2S2 was calculated for copper Kα.

Structure:
Unit cell a=11.268 b=11.268 c=11.268 alpha=17.88 beta=17.88 gamma=17.88
Fractional positions:
Cu (0.000, 0.000, 0.000)
Bi (0.500, 0.500, 0.500)
Rh (0.236, 0.236, 0.236)
Rh (0.764, 0.764, 0.764)
S (0.065, 0.065, 0.065)
S (0.935, 0.935, 0.935)

Top 6 peaks for 10 to 90 degrees two-theta, most intense first:
31.4 deg, I 100; 36.7 deg, I 42; 35.1 deg, I 35; 52.2 deg, I 32; 32.3 deg, I 22; 42.2 deg, I 21

---

(7)
Starting from a cell relaxed with PBE, the powder X-ray diffraction pattern of Na2Sr3Li was calculated for copper Kα.

Structure:
Unit cell a=9.693 b=9.693 c=9.165 alpha=90.00 beta=90.00 gamma=143.08
Fractional positions:
Na (0.000, 0.000, 0.000)
Na (0.000, 0.000, 0.500)
Na (0.334, 0.666, 0.000)
Na (0.666, 0.334, 0.000)
Sr (0.170, 0.830, 0.266)
Sr (0.170, 0.830, 0.734)
Sr (0.500, 0.500, 0.261)
Sr (0.500, 0.500, 0.739)
Sr (0.830, 0.170, 0.266)
Sr (0.830, 0.170, 0.734)
Li (0.335, 0.665, 0.500)
Li (0.665, 0.335, 0.500)

Top 6 peaks for 10 to 90 degrees two-theta, most intense first:
28.3 deg, I 100; 20.5 deg, I 49; 29.1 deg, I 48; 51.1 deg, I 37; 19.4 deg, I 27; 35.2 deg, I 24

---

(8)
Starting from a cell relaxed with PBE, the powder X-ray diffraction pattern of PmGa3Pd10 was calculated for copper Kα.

Structure:
Unit cell a=8.825 b=8.825 c=8.825 alpha=60.00 beta=60.00 gamma=60.00
Fractional positions:
Pm (0.250, 0.250, 0.250)
Pm (0.750, 0.750, 0.750)
Ga (0.230, 0.230, 0.770)
Ga (0.230, 0.770, 0.230)
Ga (0.230, 0.770, 0.770)
Ga (0.770, 0.230, 0.230)
Ga (0.770, 0.230, 0.770)
Ga (0.770, 0.770, 0.230)
Pd (0.119, 0.119, 0.119)
Pd (0.119, 0.119, 0.643)
Pd (0.119, 0.643, 0.119)
Pd (0.155, 0.500, 0.500)
Pd (0.155, 0.500, 0.845)
Pd (0.155, 0.845, 0.500)
Pd (0.357, 0.881, 0.881)
Pd (0.500, 0.155, 0.500)
Pd (0.500, 0.155, 0.845)
Pd (0.500, 0.500, 0.155)
Pd (0.500, 0.500, 0.845)
Pd (0.500, 0.845, 0.155)
Pd (0.500, 0.845, 0.500)
Pd (0.643, 0.119, 0.119)
Pd (0.845, 0.155, 0.500)
Pd (0.845, 0.500, 0.155)
Pd (0.845, 0.500, 0.500)
Pd (0.881, 0.357, 0.881)
Pd (0.881, 0.881, 0.357)
Pd (0.881, 0.881, 0.881)

Top 6 peaks for 10 to 90 degrees two-theta, most intense first:
37.4 deg, I 100; 42.9 deg, I 55; 40.9 deg, I 50; 48.4 deg, I 39; 32.1 deg, I 34; 74.5 deg, I 30

---

(9)
Starting from a cell relaxed with PBE, the powder X-ray diffraction pattern of ThMg2SiNi2 was calculated for copper Kα.

Structure:
Unit cell a=4.811 b=4.811 c=10.068 alpha=90.00 beta=90.00 gamma=90.00
Fractional positions:
Th (0.000, 0.000, 0.000)
Th (0.500, 0.500, 0.500)
Mg (0.000, 0.500, 0.250)
Mg (0.000, 0.500, 0.750)
Mg (0.500, 0.000, 0.250)
Mg (0.500, 0.000, 0.750)
Si (0.000, 0.000, 0.500)
Si (0.500, 0.500, 0.000)
Ni (0.000, 0.000, 0.284)
Ni (0.000, 0.000, 0.716)
Ni (0.500, 0.500, 0.216)
Ni (0.500, 0.500, 0.784)

Top 6 peaks for 10 to 90 degrees two-theta, most intense first:
26.2 deg, I 100; 20.5 deg, I 87; 32.5 deg, I 77; 37.4 deg, I 68; 50.4 deg, I 46; 52.6 deg, I 41

---

(10)
Starting from a cell relaxed with PBE, the powder X-ray diffraction pattern of SiHg8 was calculated for copper Kα.

Structure:
Unit cell a=7.058 b=7.058 c=7.058 alpha=97.80 beta=97.80 gamma=136.78
Fractional positions:
Si (0.000, 0.000, 0.000)
Hg (0.000, 0.319, 0.319)
Hg (0.000, 0.681, 0.681)
Hg (0.319, 0.000, 0.319)
Hg (0.335, 0.335, 0.670)
Hg (0.335, 0.665, 0.000)
Hg (0.665, 0.335, 0.000)
Hg (0.665, 0.665, 0.330)
Hg (0.681, 0.000, 0.681)

Top 6 peaks for 10 to 90 degrees two-theta, most intense first:
33.7 deg, I 100; 41.3 deg, I 28; 54.9 deg, I 25; 34.5 deg, I 24; 70.4 deg, I 23; 61.3 deg, I 18

---

(11)
Starting from a cell relaxed with PBE, the powder X-ray diffraction pattern of Mg8Tl2Cd was calculated for copper Kα.

Structure:
Unit cell a=8.461 b=8.461 c=7.224 alpha=106.51 beta=106.51 gamma=31.05
Fractional positions:
Mg (0.041, 0.041, 0.232)
Mg (0.139, 0.139, 0.685)
Mg (0.323, 0.323, 0.586)
Mg (0.410, 0.410, 0.050)
Mg (0.590, 0.590, 0.950)
Mg (0.677, 0.677, 0.414)
Mg (0.861, 0.861, 0.315)
Mg (0.959, 0.959, 0.768)
Tl (0.219, 0.219, 0.150)
Tl (0.781, 0.781, 0.850)
Cd (0.500, 0.500, 0.500)

Top 6 peaks for 10 to 90 degrees two-theta, most intense first:
34.5 deg, I 100; 34.2 deg, I 97; 23.3 deg, I 87; 11.4 deg, I 65; 19.5 deg, I 57; 39.2 deg, I 44

---

(12)
Starting from a cell relaxed with PBE, the powder X-ray diffraction pattern of Zn3Ga2Ni7 was calculated for copper Kα.

Structure:
Unit cell a=9.940 b=9.940 c=4.019 alpha=90.00 beta=90.00 gamma=156.62
Fractional positions:
Zn (0.000, 0.000, 0.000)
Zn (0.153, 0.847, 0.000)
Zn (0.847, 0.153, 0.000)
Ga (0.349, 0.651, 0.500)
Ga (0.651, 0.349, 0.500)
Ni (0.077, 0.923, 0.500)
Ni (0.220, 0.780, 0.500)
Ni (0.427, 0.573, 0.000)
Ni (0.500, 0.500, 0.500)
Ni (0.573, 0.427, 0.000)
Ni (0.780, 0.220, 0.500)
Ni (0.923, 0.077, 0.500)

Top 6 peaks for 10 to 90 degrees two-theta, most intense first:
45.6 deg, I 100; 45.0 deg, I 28; 45.1 deg, I 28; 65.6 deg, I 17; 83.5 deg, I 15; 83.6 deg, I 15

---

(13)
Starting from a cell relaxed with PBE, the powder X-ray diffraction pattern of AgHgPbBr5 was calculated for copper Kα.

Structure:
Unit cell a=7.895 b=7.895 c=10.755 alpha=107.44 beta=107.44 gamma=98.87
Fractional positions:
Ag (0.094, 0.906, 0.750)
Ag (0.906, 0.094, 0.250)
Hg (0.420, 0.580, 0.750)
Hg (0.580, 0.420, 0.250)
Pb (0.000, 0.500, 0.000)
Pb (0.500, 0.000, 0.500)
Br (0.127, 0.873, 0.250)
Br (0.219, 0.310, 0.170)
Br (0.241, 0.718, 0.561)
Br (0.282, 0.759, 0.939)
Br (0.310, 0.219, 0.670)
Br (0.690, 0.781, 0.330)
Br (0.718, 0.241, 0.061)
Br (0.759, 0.282, 0.439)
Br (0.781, 0.690, 0.830)
Br (0.873, 0.127, 0.750)

Top 6 peaks for 10 to 90 degrees two-theta, most intense first:
23.8 deg, I 100; 17.9 deg, I 87; 37.6 deg, I 57; 19.8 deg, I 52; 27.4 deg, I 49; 40.9 deg, I 43